This entry pairs a crystal structure of Hf5Ga3 with its simulated powder diffractogram. Radiation: Cu Kα (λ = 1.5418 Å). Structure: a structure optimized by DFT (PBE).
No peak broadening, texture or thermal motion is included.

The 10 most intense peaks (2θ from 5° to 70°), sorted by position:
25.66 deg, intensity 20, (2 0 0); 34.02 deg, intensity 34, (1 0 2); 34.17 deg, intensity 44, (2 1 0); 37.75 deg, intensity 100, (2 1 1); 38.79 deg, intensity 82, (1 1 2); 38.92 deg, intensity 42, (3 0 0); 56.12 deg, intensity 24, (2 2 2); 60.15 deg, intensity 26, (2 1 3); 61.18 deg, intensity 16, (4 1 0); 62.69 deg, intensity 22, (4 0 2)

Structure:
Cell lengths 8.016, 8.016, 5.696 Å; angles 90.00, 90.00, 120.00 degrees
Sites, in units of the cell vectors:
Hf 0.000 0.243 0.250
Hf 0.000 0.757 0.750
Hf 0.243 0.000 0.250
Hf 0.243 0.243 0.750
Hf 0.333 0.667 0.000
Hf 0.333 0.667 0.500
Hf 0.667 0.333 0.000
Hf 0.667 0.333 0.500
Hf 0.757 0.000 0.750
Hf 0.757 0.757 0.250
Ga 0.000 0.392 0.750
Ga 0.000 0.608 0.250
Ga 0.392 0.000 0.750
Ga 0.392 0.392 0.250
Ga 0.608 0.000 0.250
Ga 0.608 0.608 0.750